# 1
Ce3ZnOs: computed powder XRD pattern (λ = 1.5418 Å (Cu Kα)), based on DFT lattice parameters and positions (GGA-PBE).

Cell and atoms:
```
10
Lattice="0.0000 4.6254 7.9883 3.1627 0.0000 7.9883 3.1627 4.6254 0.0000" Properties=species:S:1:pos:R:3 pbc="T T T"
Ce 3.1627 4.6254 3.1966
Ce 3.1627 2.7402 6.5167
Ce 3.1627 2.7402 9.4599
Ce 3.1627 6.5106 6.5167
Ce 3.1627 6.5106 9.4599
Ce 3.1627 4.6254 12.7801
Zn 5.1057 4.6254 7.9883
Zn 1.2196 4.6254 7.9883
Os 1.5813 2.3127 3.9942
Os 4.7440 6.9381 11.9825
```

Main lines, in order of rising 2θ (2θ = 15–90°):
19.2°, I = 19
32.8°, I = 57
33.7°, I = 12
36.2°, I = 100
39.0°, I = 60
41.3°, I = 28
54.3°, I = 17
59.6°, I = 17
68.8°, I = 14
72.4°, I = 15

***

# 2
CsBeZnF6: computed powder XRD pattern (λ = 1.5418 Å (Cu Kα)), based on DFT lattice parameters and positions (GGA-PBE).

Cell and atoms:
```
9
Lattice="5.0794 0.0000 0.0000 -2.5397 4.3989 0.0000 0.0000 0.0000 6.5238" Properties=species:S:1:pos:R:3 pbc="T T T"
Cs 0.0000 0.0000 0.0000
Be 2.5397 1.4663 3.2619
Zn 0.0000 2.9326 3.2619
F 1.9760 0.1404 4.3042
F 1.1096 1.6411 2.2196
F 3.1034 0.1404 2.2196
F 1.6733 2.6174 4.3042
F 3.9698 1.6411 4.3042
F 3.4061 2.6174 2.2196
```

Main lines, in order of rising 2θ (2θ = 15–90°):
20.2°, I = 14
24.4°, I = 100
34.2°, I = 16
35.3°, I = 13
38.0°, I = 10
43.4°, I = 15
45.3°, I = 30
46.6°, I = 13
57.2°, I = 18
59.8°, I = 11

***

# 3
P2Ru2SeN: computed powder XRD pattern (λ = 1.5418 Å (Cu Kα)), based on DFT lattice parameters and positions (GGA-PBE).

Cell and atoms:
```
6
Lattice="3.0971 0.0000 0.0000 -0.4168 5.3792 0.0000 -0.4879 -0.3964 5.3822" Properties=species:S:1:pos:R:3 pbc="T T T"
P 0.0000 0.0000 0.0000
P 0.9331 1.1351 3.1145
Ru 1.0382 1.8746 0.9153
Ru 0.6111 4.3116 3.8253
Se 2.6352 3.6232 1.6375
N 0.6802 2.2401 4.2787
```

Main lines, in order of rising 2θ (2θ = 15–90°):
22.5°, I = 100
24.3°, I = 24
29.1°, I = 37
33.3°, I = 40
33.4°, I = 33
35.7°, I = 66
36.3°, I = 40
40.5°, I = 52
42.9°, I = 35
55.1°, I = 40